No. 1
For CuPdAu, a structure optimized by DFT (PBE) gives the theoretical powder diffraction line list in this record (Cu Ka).
Peak positions follow from Bragg's law for the DFT cell and can differ from measured ones.

Atomic structure:
```
CuPdAu
1.0
2.7825 0.0000 0.0000
0.0000 4.1594 0.0000
-1.3670 0.0000 7.9358
Cu Pd Au
2 2 2
Cartesian
-0.0198 1.0399 0.6406
1.4353 3.1196 7.2952
0.0302 1.0399 6.2474
1.3853 3.1196 1.6884
0.0125 1.0399 3.2351
1.4029 3.1196 4.7007
```

Top 12 peaks for 10° ≤ 2θ ≤ 90°, in order of rising 2θ:
2θ (°), d [Å], I_rel
11.15, 7.936, 37
31.15, 2.871, 36
39.37, 2.289, 100
40.41, 2.232, 74
43.17, 2.096, 27
43.31, 2.089, 26
43.52, 2.080, 35
62.97, 1.476, 18
63.07, 1.474, 17
77.09, 1.237, 14
77.77, 1.228, 11
83.63, 1.156, 11

---

No. 2
For Cu5Pd5Au, a structure optimized by DFT (PBE) gives the theoretical powder diffraction line list in this record (Cu Ka).
Peak positions follow from Bragg's law for the DFT cell and can differ from measured ones.

Atomic structure:
```
Cu5Pd5Au
1.0
5.1732 0.0000 0.0000
1.8301 4.9810 0.0000
1.8239 1.3542 6.3757
Cu Pd Au
5 5 1
Cartesian
0.0000 0.0000 0.0000
1.7444 1.4886 1.9117
3.4458 2.7017 4.4126
5.3814 3.6335 1.9631
7.0829 4.8466 4.4640
2.7797 3.9139 2.2154
4.4723 5.1466 4.1358
2.5866 0.0000 0.0000
4.3549 1.1887 2.2399
6.0475 2.4214 4.1603
3.5017 2.4905 0.0000
```

Top 12 peaks for 10° ≤ 2θ ≤ 90°, in order of rising 2θ:
2θ (°), d [Å], I_rel
18.62, 4.766, 26
21.03, 4.225, 26
41.72, 2.165, 89
42.08, 2.147, 90
42.38, 2.133, 82
42.54, 2.125, 82
42.80, 2.113, 85
43.00, 2.104, 100
60.73, 1.525, 27
61.89, 1.499, 25
62.02, 1.496, 24
77.68, 1.229, 31

---

No. 3
For CuPd5Au, a structure optimized by DFT (PBE) gives the theoretical powder diffraction line list in this record (Cu Ka).
Peak positions follow from Bragg's law for the DFT cell and can differ from measured ones.

Atomic structure:
```
CuPd5Au
1.0
2.7003 -3.9191 0.0000
2.7003 3.9191 0.0000
0.0000 0.0000 5.5750
Cu Pd Au
1 5 1
Cartesian
0.0000 0.0000 0.0000
1.3502 1.9595 1.3865
1.3502 1.9595 4.1885
1.3502 -1.9595 1.3865
1.3502 -1.9595 4.1885
2.7003 0.0000 0.0000
2.7003 0.0000 2.7875
```

Top 12 peaks for 10° ≤ 2θ ≤ 90°, in order of rising 2θ:
2θ (°), d [Å], I_rel
19.97, 4.447, 49
25.62, 3.477, 24
38.10, 2.362, 19
39.68, 2.272, 100
40.57, 2.224, 94
46.33, 1.960, 32
46.84, 1.940, 62
68.01, 1.378, 40
81.35, 1.183, 13
81.51, 1.181, 24
81.92, 1.176, 12
83.25, 1.161, 23

---

No. 4
For Cu2Pd2Au5, a structure optimized by DFT (PBE) gives the theoretical powder diffraction line list in this record (Cu Ka).
Peak positions follow from Bragg's law for the DFT cell and can differ from measured ones.

Atomic structure:
```
Cu2Pd2Au5
1.0
4.9465 0.0000 0.0000
2.4638 4.2922 0.0000
2.4574 -1.3659 6.8989
Cu Pd Au
2 2 5
Cartesian
1.1987 0.6892 0.0016
8.6690 2.2371 6.8972
5.3386 2.2121 4.6499
4.5291 0.7142 2.2490
2.9165 0.7634 4.6698
4.5299 3.6174 2.2349
3.7052 2.1461 0.0000
5.3378 -0.6911 4.6640
6.9512 2.1629 2.2290
```

Top 12 peaks for 10° ≤ 2θ ≤ 90°, in order of rising 2θ:
2θ (°), d [Å], I_rel
38.61, 2.332, 100
38.71, 2.326, 52
39.17, 2.300, 47
44.82, 2.022, 33
45.21, 2.006, 63
65.23, 1.430, 21
65.39, 1.427, 11
65.79, 1.419, 10
65.94, 1.417, 10
66.31, 1.410, 10
78.65, 1.217, 13
79.09, 1.211, 18

---

No. 5
For CuPd6Au, a structure optimized by DFT (PBE) gives the theoretical powder diffraction line list in this record (Cu Ka).
Peak positions follow from Bragg's law for the DFT cell and can differ from measured ones.

Atomic structure:
```
CuPd6Au
1.0
5.0476 0.0000 0.0000
-0.3165 5.0389 0.0000
-0.3232 -0.3626 5.0408
Cu Pd Au
1 6 1
Cartesian
0.0000 0.0000 0.0000
-0.2599 2.0236 3.7851
0.7715 4.7102 2.7585
2.0451 3.7749 0.1328
2.3629 0.9014 4.9080
3.6365 -0.0338 2.2824
4.6678 2.6527 1.2558
2.2040 2.3382 2.5204
```

Top 12 peaks for 10° ≤ 2θ ≤ 90°, in order of rising 2θ:
2θ (°), d [Å], I_rel
17.63, 5.031, 27
35.62, 2.520, 22
35.73, 2.513, 45
38.87, 2.317, 32
41.20, 2.191, 100
41.28, 2.187, 35
42.42, 2.131, 82
42.55, 2.125, 40
43.51, 2.080, 26
43.59, 2.076, 32
46.70, 1.945, 25
60.67, 1.526, 21

---

No. 6
For Cu2PdAu2, a structure optimized by DFT (PBE) gives the theoretical powder diffraction line list in this record (Cu Ka).
Peak positions follow from Bragg's law for the DFT cell and can differ from measured ones.

Atomic structure:
```
Cu2PdAu2
1.0
2.1037 -6.7772 0.0000
2.1037 6.7772 0.0000
0.0000 0.0000 5.4014
Cu Pd Au
4 2 4
Cartesian
2.1037 5.3216 2.7007
2.1037 2.5798 4.0306
2.1037 -2.5798 1.3299
2.1037 -5.3216 0.0000
2.1037 5.3738 0.0194
2.1037 -5.3738 2.7201
2.1037 2.7722 1.3212
2.1037 0.0102 4.0747
2.1037 -0.0102 1.3739
2.1037 -2.7722 4.0220
```

Top 12 peaks for 10° ≤ 2θ ≤ 90°, in order of rising 2θ:
2θ (°), d [Å], I_rel
22.12, 4.018, 20
27.67, 3.224, 21
33.17, 2.701, 16
39.55, 2.279, 100
40.23, 2.241, 83
42.82, 2.112, 38
43.00, 2.104, 41
52.55, 1.742, 19
52.83, 1.733, 16
62.29, 1.490, 25
75.77, 1.255, 16
83.15, 1.162, 23

---

No. 7
For Cu3Pd2Au, a structure optimized by DFT (PBE) gives the theoretical powder diffraction line list in this record (Cu Ka).
Peak positions follow from Bragg's law for the DFT cell and can differ from measured ones.

Atomic structure:
```
Cu3Pd2Au
1.0
2.0187 -6.0399 0.0000
2.0187 6.0399 0.0000
0.0000 0.0000 3.4910
Cu Pd Au
3 2 1
Cartesian
0.0000 0.0000 0.0000
2.0187 2.0520 0.0000
2.0187 -2.0520 0.0000
2.0187 4.0221 1.7455
2.0187 -4.0221 1.7455
2.0187 0.0000 1.7455
```

Top 12 peaks for 10° ≤ 2θ ≤ 90°, in order of rising 2θ:
2θ (°), d [Å], I_rel
14.67, 6.040, 5
25.52, 3.491, 9
31.38, 2.851, 11
40.87, 2.208, 100
44.90, 2.019, 19
45.03, 2.013, 19
52.41, 1.746, 15
65.48, 1.426, 12
71.49, 1.320, 21
80.05, 1.199, 13
80.23, 1.197, 13
88.57, 1.104, 11

---

No. 8
For CuPd7Au12, a structure optimized by DFT (PBE) gives the theoretical powder diffraction line list in this record (Cu Ka).
Peak positions follow from Bragg's law for the DFT cell and can differ from measured ones.

Atomic structure:
```
CuPd7Au12
1.0
4.9011 2.8297 4.3428
-4.9011 2.8297 4.3428
0.0000 -5.6593 4.3428
Cu Pd Au
1 7 12
Cartesian
0.0000 0.0000 0.0000
-1.5355 0.4430 2.2693
0.3841 -1.5513 2.2693
1.1514 1.1083 2.2693
0.0000 0.0000 6.5141
-1.1514 -1.1083 10.7590
-0.3841 1.5513 10.7590
1.5355 -0.4430 10.7590
-2.4238 -0.8209 5.5913
-0.4634 -2.9579 4.7241
-2.3299 1.8803 4.7241
-2.7933 -1.0777 8.3042
-0.5010 -2.5095 7.4370
-1.9228 1.6886 7.4370
1.9228 -1.6886 5.5913
0.5010 2.5095 5.5913
2.7933 1.0777 4.7241
2.3299 -1.8803 8.3042
0.4634 2.9579 8.3042
2.4238 0.8209 7.4370
```

Top 12 peaks for 10° ≤ 2θ ≤ 90°, in order of rising 2θ:
2θ (°), d [Å], I_rel
18.10, 4.901, 28
27.44, 3.250, 21
36.06, 2.491, 24
36.67, 2.451, 36
38.87, 2.317, 100
39.42, 2.286, 44
40.63, 2.221, 74
40.75, 2.214, 36
42.35, 2.134, 15
47.66, 1.908, 23
66.33, 1.409, 20
67.87, 1.381, 21

---

No. 9
For Cu3Pd2Au6, a structure optimized by DFT (PBE) gives the theoretical powder diffraction line list in this record (Cu Ka).
Peak positions follow from Bragg's law for the DFT cell and can differ from measured ones.

Atomic structure:
```
Cu3Pd2Au6
1.0
5.0979 0.0000 0.0000
1.0841 5.3797 0.0000
0.4716 1.3105 6.6320
Cu Pd Au
3 2 6
Cartesian
0.0000 0.0000 0.0000
3.2589 4.6358 3.3698
3.3947 2.0544 3.2622
2.6059 3.4938 1.1129
4.0477 3.1964 5.5191
0.8827 1.7821 4.0124
1.5221 4.3306 5.3315
2.4216 0.7377 1.1978
4.2320 5.9525 5.4342
5.1315 2.3596 1.3006
5.7708 4.9081 2.6196
```

Top 12 peaks for 10° ≤ 2θ ≤ 90°, in order of rising 2θ:
2θ (°), d [Å], I_rel
31.27, 2.861, 34
34.62, 2.591, 44
35.21, 2.549, 42
35.36, 2.538, 47
35.96, 2.498, 43
38.07, 2.364, 100
38.92, 2.314, 58
39.30, 2.293, 36
40.14, 2.247, 42
40.85, 2.209, 61
41.85, 2.159, 63
43.31, 2.089, 43

---

No. 10
For Cu3PdAu3, a structure optimized by DFT (PBE) gives the theoretical powder diffraction line list in this record (Cu Ka).
Peak positions follow from Bragg's law for the DFT cell and can differ from measured ones.

Atomic structure:
```
Cu3PdAu3
1.0
3.6637 -4.0734 0.0000
3.6637 4.0734 0.0000
0.0000 0.0000 7.6575
Cu Pd Au
6 2 6
Cartesian
3.6637 2.1912 0.0000
3.6637 2.0350 3.8287
2.0538 0.0000 3.8287
5.2736 0.0000 3.8287
3.6637 -2.0350 3.8287
3.6637 -2.1912 0.0000
2.1564 0.0000 0.0000
5.1710 0.0000 0.0000
0.0000 0.0000 1.9673
0.0000 0.0000 5.6902
1.8319 2.0367 1.9651
1.8319 2.0367 5.6924
1.8319 -2.0367 1.9651
1.8319 -2.0367 5.6924
```

Top 12 peaks for 10° ≤ 2θ ≤ 90°, in order of rising 2θ:
2θ (°), d [Å], I_rel
16.27, 5.448, 16
23.23, 3.829, 10
28.49, 3.133, 18
32.88, 2.724, 10
40.65, 2.220, 100
44.48, 2.037, 20
47.49, 1.914, 17
49.78, 1.832, 12
67.10, 1.395, 11
79.30, 1.208, 14
83.68, 1.156, 12
88.00, 1.110, 10

---

No. 11
For Cu7PdAu4, a structure optimized by DFT (PBE) gives the theoretical powder diffraction line list in this record (Cu Ka).
Peak positions follow from Bragg's law for the DFT cell and can differ from measured ones.

Atomic structure:
```
Cu7PdAu4
1.0
3.9636 0.0000 0.0000
0.0138 5.3359 0.0000
1.9552 1.8418 8.4362
Cu Pd Au
7 1 4
Cartesian
0.0000 0.0000 0.0000
1.9805 5.4969 4.4829
1.9790 3.2224 3.4143
1.9899 3.9933 1.0202
3.9426 3.1843 7.4160
3.9536 3.9552 5.0219
3.9521 1.6808 3.9533
0.0069 2.6679 0.0000
1.9623 2.4062 5.8553
1.9826 1.3284 1.6490
3.9500 5.8493 6.7872
3.9702 4.7715 2.5809
```

Top 12 peaks for 10° ≤ 2θ ≤ 90°, in order of rising 2θ:
2θ (°), d [Å], I_rel
24.14, 3.686, 28
28.09, 3.176, 20
34.26, 2.617, 19
34.41, 2.606, 29
34.99, 2.565, 16
41.55, 2.174, 22
41.72, 2.165, 100
42.68, 2.118, 30
43.89, 2.063, 18
44.04, 2.056, 17
44.59, 2.032, 25
45.79, 1.982, 42

---

No. 12
For Cu3Pd8Au8, a structure optimized by DFT (PBE) gives the theoretical powder diffraction line list in this record (Cu Ka).
Peak positions follow from Bragg's law for the DFT cell and can differ from measured ones.

Atomic structure:
```
Cu3Pd8Au8
1.0
6.2372 0.0000 0.0000
-1.8610 6.0923 0.0000
-0.7326 -2.8880 8.0462
Cu Pd Au
3 8 8
Cartesian
0.0000 0.0000 0.0000
-0.0743 -0.6755 6.3755
3.7179 3.8798 1.6707
-0.0470 4.0351 0.4195
0.5747 1.5172 4.6733
-0.1444 3.3651 6.8093
1.2558 3.7454 2.9330
2.3878 -0.5410 5.1132
3.7880 -0.1608 1.2369
3.0689 1.6871 3.3729
3.6905 -0.8308 7.6267
-0.6733 1.8379 2.0823
-1.2819 3.6205 4.2434
1.2206 -0.2942 2.4875
1.8686 1.9399 0.8078
1.7750 1.2644 7.2383
2.4230 3.4985 5.5586
4.9255 -0.4162 3.8028
4.3169 1.3664 5.9639
```

Top 12 peaks for 10° ≤ 2θ ≤ 90°, in order of rising 2θ:
2θ (°), d [Å], I_rel
20.36, 4.361, 12
38.88, 2.317, 100
38.98, 2.310, 99
44.79, 2.023, 33
44.89, 2.019, 33
46.09, 1.969, 31
65.28, 1.429, 22
66.32, 1.409, 31
78.52, 1.218, 13
78.70, 1.216, 13
78.78, 1.215, 26
80.40, 1.194, 12

---

No. 13
For CuPd6Au8, a structure optimized by DFT (PBE) gives the theoretical powder diffraction line list in this record (Cu Ka).
Peak positions follow from Bragg's law for the DFT cell and can differ from measured ones.

Atomic structure:
```
CuPd6Au8
1.0
3.8270 2.2095 5.4876
-3.8270 2.2095 5.4876
0.0000 -4.4191 5.4876
Cu Pd Au
1 6 8
Cartesian
0.0000 0.0000 0.0000
-2.5668 0.1106 6.2715
-1.3792 -2.1677 10.1914
1.1876 -2.2783 6.2715
-1.1876 2.2782 10.1914
1.3792 2.1677 6.2715
2.5668 -0.1106 10.1914
-1.3511 -2.1626 7.4749
-2.5484 0.0888 8.9880
0.0000 0.0000 5.3716
-1.1973 2.2514 7.4749
1.1973 -2.2514 8.9880
0.0000 0.0000 11.0912
2.5484 -0.0888 7.4749
1.3511 2.1626 8.9880
```

Top 12 peaks for 10° ≤ 2θ ≤ 90°, in order of rising 2θ:
2θ (°), d [Å], I_rel
23.24, 3.827, 15
28.43, 3.139, 48
40.45, 2.230, 100
40.84, 2.210, 90
50.51, 1.807, 10
58.84, 1.570, 32
66.89, 1.399, 9
73.31, 1.291, 13
74.10, 1.280, 32
74.36, 1.276, 15
87.49, 1.115, 8
88.50, 1.105, 9